1.
Starting from the GGA-PBE geometry in Alexandria, the X-ray powder pattern of TbGe3Rh was computed for Cu Ka.

Top 10 peaks for 5 to 70 degrees two-theta, low angle first:
2θ/deg, I/Imax, index
21.3, 23, 1 0 1
26.6, 33, 1 1 1
30.7, 24, 0 0 2
34.7, 21, 0 1 2
35.4, 64, 0 2 1
37.4, 100, 2 1 1
37.9, 32, 1 1 2
46.4, 39, 2 1 2
46.9, 19, 2 2 1
67.0, 21, 2 3 2

Atomic structure:
Unit cell a=5.9883 b=5.6372 c=5.8215 alpha=90.00 beta=90.00 gamma=90.00
Space group Pmn2_1 (No. 31)
Symmetry-distinct sites (fractional):
Tb 0.0000 0.1473 0.0000 x2
Ge 0.0000 0.9056 0.5649 x2
Ge 0.2350 0.3172 0.4560 x4
Rh 0.0000 0.6189 0.2642 x2

=====

2.
Starting from the GGA-PBE geometry in Alexandria, the X-ray powder pattern of NaCe2Cl11 was computed for Cu Ka.

Top 10 peaks for 5 to 70 degrees two-theta, low angle first:
2θ/deg, I/Imax, index
12.3, 100, 0 0 2
12.9, 49, 0 2 0
16.4, 28, 2 0 0
17.8, 56, 0 2 2
18.6, 29, 2 1 1
20.9, 40, 2 2 0
24.3, 28, 2 2 2
31.6, 22, 3 3 0
36.1, 32, 0 4 4
38.7, 19, 4 1 3

Atomic structure:
Unit cell a=10.8372 b=13.7410 c=14.4204 alpha=90.00 beta=90.00 gamma=90.00
Space group Ibam (No. 72)
Symmetry-distinct sites (fractional):
Na 0.0000 0.0000 0.2500 x4
Ce 0.2066 0.2372 0.0000 x8
Cl 0.0000 0.5000 0.0000 x4
Cl 0.0348 0.3353 0.5000 x8
Cl 0.1340 0.1164 0.1251 x16
Cl 0.2218 0.1471 0.3746 x16